Diffraction record for LiVF3. The powder XRD pattern is theoretical, not measured: it uses a crystal structure in Alexandria, relaxed with PBE+U and Cu Kα (weighted mean of Kα1 and Kα2).
Kinematic intensities with the Lorentz-polarization factor, no thermal factor.

Crystal structure
```
data_LiVF3
_cell_length_a 6.152
_cell_length_b 6.152
_cell_length_c 6.152
_cell_angle_alpha 90.00
_cell_angle_beta 90.00
_cell_angle_gamma 90.00
_symmetry_space_group_name_H-M 'P 21 3'
_symmetry_Int_Tables_number 198
_symmetry_space_group_name_Hall 'P 2ac 2ab 3'
loop_
_atom_site_label
_atom_site_type_symbol
_atom_site_fract_x
_atom_site_fract_y
_atom_site_fract_z
_atom_site_occupancy
Li1 Li 0.122 0.378 0.622 1
V1 V 0.164 0.164 0.164 1
F1 F 0.009 0.727 0.628 1
```

The 8 most intense peaks (2θ from 10° to 80°), in order of falling intensity:
- 2θ 46.69, I 100, (3 0 1)
- 2θ 32.54, I 99, (2 1 0)
- 2θ 25.07, I 98, (1 1 1)
- 2θ 55.92, I 88, (3 1 2)
- 2θ 20.41, I 68, (1 1 0)
- 2θ 44.16, I 30, (2 2 1)
- 2θ 62.21, I 27, (4 0 1)
- 2θ 35.75, I 25, (2 1 1)

Diffraction record for Rb3CoF7. The powder XRD pattern is theoretical, not measured: it uses a crystal structure in Alexandria, relaxed with PBE+U and Cu Kα (weighted mean of Kα1 and Kα2).
Kinematic intensities with the Lorentz-polarization factor, no thermal factor.

Crystal structure
```
data_Rb3CoF7
_cell_length_a 7.866
_cell_length_b 8.133
_cell_length_c 6.495
_cell_angle_alpha 90.00
_cell_angle_beta 90.31
_cell_angle_gamma 90.00
_symmetry_space_group_name_H-M 'C 1 m 1'
_symmetry_Int_Tables_number 8
loop_
_symmetry_equiv_pos_as_xyz
'x,y,z'
'x,-y,z'
'x+1/2,y+1/2,z'
'x+1/2,-y+1/2,z'
loop_
_atom_site_label
_atom_site_type_symbol
_atom_site_fract_x
_atom_site_fract_y
_atom_site_fract_z
_atom_site_occupancy
Rb1 Rb 0.000 0.000 0.000 1
Rb2 Rb 0.251 0.250 0.489 1
Co1 Co 0.004 0.500 0.987 1
F1 F 0.000 0.000 0.472 1
F2 F 0.130 0.343 0.114 1
F3 F 0.150 0.500 0.772 1
F4 F 0.358 0.000 0.203 1
F5 F 0.378 0.157 0.860 1
```

The 8 most intense peaks (2θ from 10° to 80°), in order of falling intensity:
- 2θ 25.85, I 100, (0 2 1)
- 2θ 31.65, I 80, (2 2 0)
- 2θ 26.43, I 58, (2 0 -1)
- 2θ 42.48, I 48, (2 2 2)
- 2θ 27.46, I 47, (0 0 2)
- 2θ 26.56, I 44, (2 0 1)
- 2θ 52.61, I 31, (2 4 1)
- 2θ 42.30, I 29, (2 2 -2)